Entry 1:
Starting from the GGA-PBE geometry in Alexandria, the powder diffractogram of PmB2Rh2 was computed for Cu Kα (weighted mean of Kα1 and Kα2).

Peak list (10 most intense, 15 to 90 degrees two-theta, sorted by position)
25.9°, I = 22
31.3°, I = 100
33.6°, I = 18
34.6°, I = 96
38.9°, I = 37
42.0°, I = 51
47.7°, I = 20
52.4°, I = 23
58.5°, I = 16
60.0°, I = 17

Structural model:
```
data_PmB2Rh2
_cell_length_a 6.9149
_cell_length_b 6.0054
_cell_length_c 5.5886
_cell_angle_alpha 73.13
_cell_angle_beta 56.21
_cell_angle_gamma 50.66
_symmetry_space_group_name_H-M 'P 1'
_symmetry_Int_Tables_number 1
_symmetry_space_group_name_Hall 'P 1'
loop_
_atom_site_label
_atom_site_fract_x
_atom_site_fract_y
_atom_site_fract_z
_atom_site_occupancy
Pm1 0.1250 0.1250 0.1250 1
Pm2 0.8750 0.8750 0.8750 1
B1 0.1936 0.5564 0.1936 1
B2 0.4436 0.8064 0.4436 1
B3 0.5564 0.1936 0.5564 1
B4 0.8064 0.4436 0.8064 1
Rh1 0.2421 0.2421 0.5079 1
Rh2 0.4921 0.4921 0.7579 1
Rh3 0.5079 0.5079 0.2421 1
Rh4 0.7579 0.7579 0.4921 1
```

Entry 2:
Starting from the GGA-PBE geometry in Alexandria, the powder diffractogram of Li3NpCl8 was computed for Cu Kα (weighted mean of Kα1 and Kα2).

Peak list (10 most intense, 15 to 90 degrees two-theta, sorted by position)
16.1°, I = 82
16.2°, I = 40
22.9°, I = 81
26.8°, I = 41
27.0°, I = 100
32.6°, I = 71
32.8°, I = 35
36.7°, I = 35
46.9°, I = 38
49.2°, I = 33

Structural model:
```
data_Li3NpCl8
_cell_length_a 7.7470
_cell_length_b 7.7470
_cell_length_c 7.8144
_cell_angle_alpha 120.14
_cell_angle_beta 120.14
_cell_angle_gamma 60.00
_symmetry_space_group_name_H-M 'P 1'
_symmetry_Int_Tables_number 1
_symmetry_space_group_name_Hall 'P 1'
loop_
_atom_site_label
_atom_site_fract_x
_atom_site_fract_y
_atom_site_fract_z
_atom_site_occupancy
Li1 0.0000 0.0000 0.0000 1
Li2 0.0000 0.5000 0.0000 1
Li3 0.5000 0.0000 0.0000 1
Np1 0.5000 0.5000 0.0000 1
Cl1 0.2180 0.2180 0.1520 1
Cl2 0.2686 0.2686 0.7671 1
Cl3 0.2686 0.7266 0.7670 1
Cl4 0.2734 0.7314 0.2330 1
Cl5 0.7266 0.2686 0.7670 1
Cl6 0.7314 0.2734 0.2330 1
Cl7 0.7314 0.7314 0.2329 1
Cl8 0.7820 0.7820 0.8480 1
```

Entry 3:
Starting from the GGA-PBE geometry in Alexandria, the powder diffractogram of Na16MgGa12 was computed for Cu Kα (weighted mean of Kα1 and Kα2).

Peak list (10 most intense, 15 to 90 degrees two-theta, sorted by position)
19.4°, I = 78
19.5°, I = 40
19.8°, I = 77
34.1°, I = 93
34.3°, I = 86
34.6°, I = 100
37.6°, I = 52
37.8°, I = 82
38.4°, I = 50
38.5°, I = 57

Structural model:
```
data_Na16MgGa12
_cell_length_a 9.6973
_cell_length_b 9.6973
_cell_length_c 9.4783
_cell_angle_alpha 109.39
_cell_angle_beta 109.39
_cell_angle_gamma 110.34
_symmetry_space_group_name_H-M 'P 1'
_symmetry_Int_Tables_number 1
_symmetry_space_group_name_Hall 'P 1'
loop_
_atom_site_label
_atom_site_fract_x
_atom_site_fract_y
_atom_site_fract_z
_atom_site_occupancy
Na1 0.0000 0.0000 0.0000 1
Na2 0.0433 0.6401 0.0423 1
Na3 0.0750 0.7625 0.7575 1
Na4 0.3509 0.6668 0.9402 1
Na5 0.3521 0.3521 0.3479 1
Na6 0.3542 0.9439 0.6601 1
Na7 0.3557 0.6967 0.3451 1
Na8 0.3629 0.3629 0.7112 1
Na9 0.6401 0.0433 0.0423 1
Na10 0.6662 0.9491 0.3536 1
Na11 0.6668 0.3509 0.9402 1
Na12 0.6967 0.3557 0.3451 1
Na13 0.7625 0.0750 0.7575 1
Na14 0.7618 0.7618 0.0765 1
Na15 0.9439 0.3542 0.6601 1
Na16 0.9491 0.6662 0.3536 1
Mg1 0.0462 0.0462 0.6411 1
Ga1 0.0012 0.1729 0.3654 1
Ga2 0.1705 0.3455 0.9832 1
Ga3 0.1729 0.0012 0.3654 1
Ga4 0.1794 0.5286 0.5229 1
Ga5 0.3455 0.1705 0.9832 1
Ga6 0.3535 0.9994 0.1747 1
Ga7 0.5228 0.5228 0.1599 1
Ga8 0.5286 0.1794 0.5229 1
Ga9 0.5394 0.7117 0.7062 1
Ga10 0.7117 0.5394 0.7062 1
Ga11 0.7193 0.7193 0.5246 1
Ga12 0.9994 0.3535 0.1747 1
```

Entry 4:
Starting from the GGA-PBE geometry in Alexandria, the powder diffractogram of Pr2YBr2N2 was computed for Cu Kα (weighted mean of Kα1 and Kα2).

Peak list (10 most intense, 15 to 90 degrees two-theta, sorted by position)
28.0°, I = 89
33.3°, I = 100
40.0°, I = 41
42.8°, I = 19
53.0°, I = 53
57.9°, I = 14
60.0°, I = 14
65.5°, I = 16
68.5°, I = 12
82.4°, I = 15

Structural model:
```
data_Pr2YBr2N2
_cell_length_a 4.5057
_cell_length_b 4.5057
_cell_length_c 16.7344
_cell_angle_alpha 90.00
_cell_angle_beta 90.00
_cell_angle_gamma 90.00
_symmetry_space_group_name_H-M 'P 1'
_symmetry_Int_Tables_number 1
_symmetry_space_group_name_Hall 'P 1'
loop_
_atom_site_label
_atom_site_fract_x
_atom_site_fract_y
_atom_site_fract_z
_atom_site_occupancy
Pr1 0.0000 0.0000 0.0898 1
Pr2 0.0000 0.0000 0.9102 1
Pr3 0.5000 0.5000 0.4102 1
Pr4 0.5000 0.5000 0.5898 1
Y1 0.0000 0.0000 0.5000 1
Y2 0.5000 0.5000 0.0000 1
Br1 0.0000 0.0000 0.3233 1
Br2 0.0000 0.0000 0.6767 1
Br3 0.5000 0.5000 0.1767 1
Br4 0.5000 0.5000 0.8233 1
N1 0.0000 0.5000 0.0000 1
N2 0.0000 0.5000 0.5000 1
N3 0.5000 0.0000 0.0000 1
N4 0.5000 0.0000 0.5000 1
```

Entry 5:
Starting from the GGA-PBE geometry in Alexandria, the powder diffractogram of Te3Pd2Cl was computed for Cu Kα (weighted mean of Kα1 and Kα2).

Peak list (10 most intense, 15 to 90 degrees two-theta, sorted by position)
15.9°, I = 29
26.2°, I = 22
27.8°, I = 15
33.5°, I = 100
45.2°, I = 44
50.9°, I = 30
57.4°, I = 21
75.9°, I = 18
84.5°, I = 15
87.7°, I = 13

Structural model:
```
data_Te3Pd2Cl
_cell_length_a 7.2610
_cell_length_b 7.2610
_cell_length_c 7.2610
_cell_angle_alpha 67.08
_cell_angle_beta 67.08
_cell_angle_gamma 67.08
_symmetry_space_group_name_H-M 'P 1'
_symmetry_Int_Tables_number 1
_symmetry_space_group_name_Hall 'P 1'
loop_
_atom_site_label
_atom_site_fract_x
_atom_site_fract_y
_atom_site_fract_z
_atom_site_occupancy
Te1 0.2497 0.2497 0.7439 1
Te2 0.2497 0.7439 0.2497 1
Te3 0.2561 0.7503 0.7503 1
Te4 0.7439 0.2497 0.2497 1
Te5 0.7503 0.2561 0.7503 1
Te6 0.7503 0.7503 0.2561 1
Pd1 0.0000 0.0000 0.0000 1
Pd2 0.0000 0.5000 0.5000 1
Pd3 0.5000 0.0000 0.5000 1
Pd4 0.5000 0.5000 0.0000 1
Cl1 0.2462 0.2462 0.2462 1
Cl2 0.7538 0.7538 0.7538 1
```

Entry 6:
Starting from the GGA-PBE geometry in Alexandria, the powder diffractogram of KCuBi2S4 was computed for Cu Kα (weighted mean of Kα1 and Kα2).

Peak list (10 most intense, 15 to 90 degrees two-theta, sorted by position)
22.5°, I = 76
25.6°, I = 46
26.1°, I = 54
29.3°, I = 35
29.6°, I = 50
30.0°, I = 35
31.9°, I = 100
33.6°, I = 64
38.9°, I = 43
43.8°, I = 55

Structural model:
```
data_KCuBi2S4
_cell_length_a 7.2434
_cell_length_b 7.2434
_cell_length_c 14.4311
_cell_angle_alpha 90.00
_cell_angle_beta 90.00
_cell_angle_gamma 147.61
_symmetry_space_group_name_H-M 'P 1'
_symmetry_Int_Tables_number 1
_symmetry_space_group_name_Hall 'P 1'
loop_
_atom_site_label
_atom_site_fract_x
_atom_site_fract_y
_atom_site_fract_z
_atom_site_occupancy
K1 0.1110 0.8890 0.5000 1
K2 0.8890 0.1110 0.0000 1
Cu1 0.1480 0.8520 0.9714 1
Cu2 0.8520 0.1480 0.4714 1
Bi1 0.3510 0.6490 0.2905 1
Bi2 0.3802 0.6198 0.6735 1
Bi3 0.6198 0.3802 0.1735 1
Bi4 0.6490 0.3510 0.7905 1
S1 0.0159 0.9841 0.7201 1
S2 0.2538 0.7462 0.1269 1
S3 0.2681 0.7319 0.8547 1
S4 0.4283 0.5717 0.4919 1
S5 0.5717 0.4283 0.9919 1
S6 0.7319 0.2681 0.3547 1
S7 0.7462 0.2538 0.6269 1
S8 0.9841 0.0159 0.2201 1
```

Entry 7:
Starting from the GGA-PBE geometry in Alexandria, the powder diffractogram of Sr3Pd4Pb4 was computed for Cu Kα (weighted mean of Kα1 and Kα2).

Peak list (10 most intense, 15 to 90 degrees two-theta, sorted by position)
20.0°, I = 69
27.9°, I = 34
28.6°, I = 40
30.8°, I = 100
35.6°, I = 42
37.3°, I = 30
40.0°, I = 48
40.7°, I = 34
41.4°, I = 30
45.1°, I = 28

Structural model:
```
data_Sr3Pd4Pb4
_cell_length_a 4.5104
_cell_length_b 5.0966
_cell_length_c 13.4926
_cell_angle_alpha 86.85
_cell_angle_beta 80.40
_cell_angle_gamma 89.98
_symmetry_space_group_name_H-M 'P 1'
_symmetry_Int_Tables_number 1
_symmetry_space_group_name_Hall 'P 1'
loop_
_atom_site_label
_atom_site_fract_x
_atom_site_fract_y
_atom_site_fract_z
_atom_site_occupancy
Sr1 0.0000 0.0000 0.0000 1
Sr2 0.1544 0.6690 0.6927 1
Sr3 0.8456 0.3310 0.3073 1
Pd1 0.2525 0.3271 0.4951 1
Pd2 0.4018 0.9786 0.1928 1
Pd3 0.5982 0.0214 0.8072 1
Pd4 0.7475 0.6729 0.5049 1
Pb1 0.2998 0.8421 0.4002 1
Pb2 0.4409 0.4902 0.1142 1
Pb3 0.5591 0.5098 0.8858 1
Pb4 0.7002 0.1579 0.5998 1
```

Entry 8:
Starting from the GGA-PBE geometry in Alexandria, the powder diffractogram of Pm2Pr5Ho12 was computed for Cu Kα (weighted mean of Kα1 and Kα2).

Peak list (10 most intense, 15 to 90 degrees two-theta, sorted by position)
30.5°, I = 100
30.6°, I = 33
35.4°, I = 67
50.9°, I = 32
51.0°, I = 16
60.4°, I = 19
60.6°, I = 29
60.6°, I = 9
63.6°, I = 8
85.5°, I = 9

Structural model:
```
data_Pm2Pr5Ho12
_cell_length_a 6.2101
_cell_length_b 9.5106
_cell_length_c 10.7529
_cell_angle_alpha 101.10
_cell_angle_beta 95.60
_cell_angle_gamma 90.06
_symmetry_space_group_name_H-M 'P 1'
_symmetry_Int_Tables_number 1
_symmetry_space_group_name_Hall 'P 1'
loop_
_atom_site_label
_atom_site_fract_x
_atom_site_fract_y
_atom_site_fract_z
_atom_site_occupancy
Pm1 0.0808 0.3178 0.4737 1
Pm2 0.9192 0.6822 0.5263 1
Pr1 0.2376 0.9468 0.4205 1
Pr2 0.3411 0.3682 0.0531 1
Pr3 0.5000 0.0000 0.0000 1
Pr4 0.6589 0.6318 0.9469 1
Pr5 0.7624 0.0532 0.5795 1
Ho1 0.0254 0.1057 0.1574 1
Ho2 0.1314 0.5260 0.7890 1
Ho3 0.1829 0.7367 0.1048 1
Ho4 0.2883 0.1590 0.7380 1
Ho5 0.3961 0.5785 0.3684 1
Ho6 0.4448 0.7875 0.6841 1
Ho7 0.5552 0.2125 0.3159 1
Ho8 0.6039 0.4215 0.6316 1
Ho9 0.7117 0.8410 0.2620 1
Ho10 0.8171 0.2633 0.8952 1
Ho11 0.8686 0.4740 0.2110 1
Ho12 0.9746 0.8943 0.8426 1
```

Entry 9:
Starting from the GGA-PBE geometry in Alexandria, the powder diffractogram of SrAlNi2H8 was computed for Cu Kα (weighted mean of Kα1 and Kα2).

Peak list (10 most intense, 15 to 90 degrees two-theta, sorted by position)
23.0°, I = 33
30.2°, I = 100
33.8°, I = 49
39.5°, I = 66
50.5°, I = 23
52.9°, I = 13
62.0°, I = 19
65.9°, I = 20
68.0°, I = 12
71.6°, I = 11

Structural model:
```
data_SrAlNi2H8
_cell_length_a 6.5107
_cell_length_b 6.5107
_cell_length_c 6.5107
_cell_angle_alpha 41.06
_cell_angle_beta 41.06
_cell_angle_gamma 41.06
_symmetry_space_group_name_H-M 'P 1'
_symmetry_Int_Tables_number 1
_symmetry_space_group_name_Hall 'P 1'
loop_
_atom_site_label
_atom_site_fract_x
_atom_site_fract_y
_atom_site_fract_z
_atom_site_occupancy
Sr1 0.0000 0.0000 0.0000 1
Al1 0.5000 0.5000 0.5000 1
Ni1 0.2181 0.2181 0.2181 1
Ni2 0.7819 0.7819 0.7819 1
H1 0.1269 0.7539 0.4405 1
H2 0.2461 0.5595 0.8731 1
H3 0.3028 0.3028 0.3028 1
H4 0.4405 0.1269 0.7539 1
H5 0.5595 0.8731 0.2461 1
H6 0.6972 0.6972 0.6972 1
H7 0.7539 0.4405 0.1269 1
H8 0.8731 0.2461 0.5595 1
```

Entry 10:
Starting from the GGA-PBE geometry in Alexandria, the powder diffractogram of TbNiP was computed for Cu Kα (weighted mean of Kα1 and Kα2).

Peak list (10 most intense, 15 to 90 degrees two-theta, sorted by position)
26.4°, I = 29
35.1°, I = 100
46.4°, I = 11
46.6°, I = 34
54.2°, I = 9
59.7°, I = 21
67.9°, I = 21
78.7°, I = 9
79.0°, I = 19
86.6°, I = 6

Structural model:
```
data_TbNiP
_cell_length_a 3.8951
_cell_length_b 3.8951
_cell_length_c 7.8227
_cell_angle_alpha 90.00
_cell_angle_beta 90.00
_cell_angle_gamma 120.00
_symmetry_space_group_name_H-M 'P 1'
_symmetry_Int_Tables_number 1
_symmetry_space_group_name_Hall 'P 1'
loop_
_atom_site_label
_atom_site_fract_x
_atom_site_fract_y
_atom_site_fract_z
_atom_site_occupancy
Tb1 0.0000 0.0000 0.0000 1
Tb2 0.0000 0.0000 0.5000 1
Ni1 0.3333 0.6667 0.2500 1
Ni2 0.6667 0.3333 0.7500 1
P1 0.3333 0.6667 0.7500 1
P2 0.6667 0.3333 0.2500 1
```

Entry 11:
Starting from the GGA-PBE geometry in Alexandria, the powder diffractogram of SmP2Pd4 was computed for Cu Kα (weighted mean of Kα1 and Kα2).

Peak list (10 most intense, 15 to 90 degrees two-theta, sorted by position)
28.3°, I = 13
34.8°, I = 100
36.8°, I = 45
40.5°, I = 31
43.9°, I = 27
46.9°, I = 22
48.7°, I = 18
61.1°, I = 20
65.1°, I = 30
69.9°, I = 12

Structural model:
```
data_SmP2Pd4
_cell_length_a 7.7134
_cell_length_b 7.7134
_cell_length_c 3.8734
_cell_angle_alpha 90.00
_cell_angle_beta 90.00
_cell_angle_gamma 90.00
_symmetry_space_group_name_H-M 'P 1'
_symmetry_Int_Tables_number 1
_symmetry_space_group_name_Hall 'P 1'
loop_
_atom_site_label
_atom_site_fract_x
_atom_site_fract_y
_atom_site_fract_z
_atom_site_occupancy
Sm1 0.0000 0.0000 0.0000 1
Sm2 0.5000 0.5000 0.5000 1
P1 0.2228 0.2228 0.5000 1
P2 0.2772 0.7228 0.0000 1
P3 0.7228 0.2772 0.0000 1
P4 0.7772 0.7772 0.5000 1
Pd1 0.0802 0.6720 0.5000 1
Pd2 0.1720 0.4198 0.0000 1
Pd3 0.3280 0.9198 0.5000 1
Pd4 0.4198 0.1720 0.0000 1
Pd5 0.5802 0.8280 0.0000 1
Pd6 0.6720 0.0802 0.5000 1
Pd7 0.8280 0.5802 0.0000 1
Pd8 0.9198 0.3280 0.5000 1
```

Entry 12:
Starting from the GGA-PBE geometry in Alexandria, the powder diffractogram of KCa2MnI8 was computed for Cu Kα (weighted mean of Kα1 and Kα2).

Peak list (10 most intense, 15 to 90 degrees two-theta, sorted by position)
22.2°, I = 17
25.2°, I = 100
25.5°, I = 60
25.9°, I = 73
26.9°, I = 44
28.6°, I = 19
33.2°, I = 58
34.3°, I = 16
38.5°, I = 19
39.9°, I = 41

Structural model:
```
data_KCa2MnI8
_cell_length_a 7.1064
_cell_length_b 9.3457
_cell_length_c 7.7676
_cell_angle_alpha 90.00
_cell_angle_beta 93.70
_cell_angle_gamma 90.00
_symmetry_space_group_name_H-M 'P 1'
_symmetry_Int_Tables_number 1
_symmetry_space_group_name_Hall 'P 1'
loop_
_atom_site_label
_atom_site_fract_x
_atom_site_fract_y
_atom_site_fract_z
_atom_site_occupancy
K1 0.0000 0.0000 0.0000 1
Ca1 0.5000 0.2646 0.5000 1
Ca2 0.5000 0.7354 0.5000 1
Mn1 0.0000 0.5000 0.0000 1
I1 0.2316 0.2997 0.1417 1
I2 0.2316 0.7003 0.1417 1
I3 0.2506 0.5000 0.6587 1
I4 0.3247 0.0000 0.6852 1
I5 0.6753 0.0000 0.3148 1
I6 0.7494 0.5000 0.3413 1
I7 0.7684 0.2997 0.8583 1
I8 0.7684 0.7003 0.8583 1
```

Entry 13:
Starting from the GGA-PBE geometry in Alexandria, the powder diffractogram of Pu3Zn9Ru2 was computed for Cu Kα (weighted mean of Kα1 and Kα2).

Peak list (10 most intense, 15 to 90 degrees two-theta, sorted by position)
21.7°, I = 63
34.0°, I = 55
36.2°, I = 100
36.6°, I = 46
36.9°, I = 45
37.7°, I = 30
38.9°, I = 50
39.9°, I = 61
42.9°, I = 34
55.2°, I = 28

Structural model:
```
data_Pu3Zn9Ru2
_cell_length_a 7.7729
_cell_length_b 7.7729
_cell_length_c 7.7729
_cell_angle_alpha 146.19
_cell_angle_beta 102.35
_cell_angle_gamma 87.43
_symmetry_space_group_name_H-M 'P 1'
_symmetry_Int_Tables_number 1
_symmetry_space_group_name_Hall 'P 1'
loop_
_atom_site_label
_atom_site_fract_x
_atom_site_fract_y
_atom_site_fract_z
_atom_site_occupancy
Pu1 0.0000 0.0000 0.0000 1
Pu2 0.2959 0.2959 0.0000 1
Pu3 0.7041 0.7041 0.0000 1
Zn1 0.0071 0.6477 0.3594 1
Zn2 0.1537 0.8743 0.2794 1
Zn3 0.2882 0.6477 0.6406 1
Zn4 0.4051 0.1257 0.2794 1
Zn5 0.5000 0.0000 0.5000 1
Zn6 0.5949 0.8743 0.7206 1
Zn7 0.7118 0.3523 0.3594 1
Zn8 0.8463 0.1257 0.7206 1
Zn9 0.9929 0.3523 0.6406 1
Ru1 0.3492 0.5000 0.8492 1
Ru2 0.6508 0.5000 0.1508 1
```